The following is a computed powder XRD pattern of PmNdSm2Sc. It was derived from a DFT-relaxed cell (PBE, Alexandria), using CuKα.
Kinematic intensities with the Lorentz-polarization factor, no thermal factor.

Structure:
```
PmNdSm2Sc
1.0
6.284 0.000 0.000
0.000 7.880 0.000
0.000 0.000 6.613
Pm Nd Sm Sc
2 2 4 2
direct
0.250 0.000 0.091
0.750 0.000 0.909
0.250 0.500 0.301
0.750 0.500 0.699
0.250 0.290 0.777
0.250 0.710 0.777
0.750 0.290 0.223
0.750 0.710 0.223
0.000 0.000 0.500
0.500 0.000 0.500
```

Largest 12 diffraction maxima, in order of falling intensity, 15° ≤ 2θ ≤ 90°:
Position (°2θ), d/Å, intensity, (hkl)
29.99, 2.980, 100.0, 1 2 1
28.41, 3.142, 37.9, 2 0 0
39.59, 2.277, 29.6, 2 0 2
51.29, 1.781, 22.4, 3 2 1
32.65, 2.743, 21.4, 1 1 2
29.29, 3.049, 20.1, 0 1 2
33.56, 2.670, 13.3, 2 1 1
56.43, 1.631, 12.4, 1 3 3
26.97, 3.306, 12.4, 0 0 2
46.06, 1.970, 11.2, 0 4 0
17.51, 5.065, 9.7, 0 1 1
43.51, 2.080, 8.4, 1 0 3